Record 1
Simulated powder diffractogram of Al13Ge2 for Cu Kα (weighted mean of Kα1 and Kα2), from DFT lattice parameters and positions (PBE).
Lines closer than 0.1° are merged.

Peak list (12 most intense, 2θ = 10–90°, by intensity)
Position (°2θ), I/Imax
37.9, 100
14.7, 66
42.1, 58
22.4, 30
27.7, 27
75.3, 24
36.0, 22
49.9, 22
50.9, 20
24.4, 18
45.0, 12
71.1, 11

Crystal structure
a = 8.0176 Å, b = 8.0176 Å, c = 8.0176 Å
α = 54.21°, β = 54.21°, γ = 54.21°
Positions (direct):
Al  0.0000  0.0000  0.0000
Al  0.1012  0.1012  0.5162
Al  0.1012  0.5162  0.1012
Al  0.2463  0.2463  0.6238
Al  0.2463  0.6238  0.2463
Al  0.3762  0.7537  0.7537
Al  0.4838  0.8988  0.8988
Al  0.5162  0.1012  0.1012
Al  0.6238  0.2463  0.2463
Al  0.7537  0.3762  0.7537
Al  0.7537  0.7537  0.3762
Al  0.8988  0.4838  0.8988
Al  0.8988  0.8988  0.4838
Ge  0.1421  0.1421  0.1421
Ge  0.8579  0.8579  0.8579



Record 2
Simulated powder diffractogram of Tb3ErPd for Cu Kα (weighted mean of Kα1 and Kα2), from DFT lattice parameters and positions (PBE).
Lines closer than 0.1° are merged.

Peak list (12 most intense, 2θ = 10–90°, by intensity)
Position (°2θ), I/Imax
31.0, 100
34.4, 54
32.1, 49
32.8, 41
32.4, 31
58.5, 27
32.9, 25
49.2, 24
30.2, 23
34.5, 18
35.7, 17
59.9, 17

Crystal structure
a = 6.3855 Å, b = 6.3855 Å, c = 13.8144 Å
α = 114.42°, β = 114.42°, γ = 33.73°
Positions (direct):
Tb  0.0000  0.0000  0.0000
Tb  0.0270  0.0270  0.3636
Tb  0.3279  0.3279  0.7623
Tb  0.3546  0.3546  0.1287
Tb  0.5615  0.5615  0.6004
Tb  0.6753  0.6753  0.8927
Er  0.6787  0.6787  0.2362
Er  0.7924  0.7924  0.5232
Pd  0.0102  0.0102  0.7377
Pd  0.3397  0.3397  0.3865



Record 3
Simulated powder diffractogram of Na2Mg2Tl7 for Cu Kα (weighted mean of Kα1 and Kα2), from DFT lattice parameters and positions (PBE).
Lines closer than 0.1° are merged.

Peak list (12 most intense, 2θ = 10–90°, by intensity)
Position (°2θ), I/Imax
33.1, 100
32.3, 31
36.5, 28
28.0, 25
31.3, 25
20.7, 23
25.8, 21
52.2, 20
37.1, 19
63.6, 16
48.9, 14
24.1, 14

Crystal structure
a = 8.8269 Å, b = 8.8269 Å, c = 8.8269 Å
α = 147.63°, β = 69.22°, γ = 120.67°
Positions (direct):
Na  0.0000  0.0000  0.0000
Na  0.6839  0.1839  0.5000
Mg  0.4075  0.1959  0.2117
Mg  0.9842  0.1959  0.7883
Tl  0.1457  0.4924  0.6533
Tl  0.2454  0.9038  0.3416
Tl  0.3716  0.3716  0.0000
Tl  0.5513  0.6965  0.8549
Tl  0.5622  0.9038  0.6584
Tl  0.8391  0.4924  0.3467
Tl  0.8416  0.6965  0.1451



Record 4
Simulated powder diffractogram of LiHg3Pd3 for Cu Kα (weighted mean of Kα1 and Kα2), from DFT lattice parameters and positions (PBE).
Lines closer than 0.1° are merged.

Peak list (12 most intense, 2θ = 10–90°, by intensity)
Position (°2θ), I/Imax
39.2, 100
39.6, 97
19.5, 62
71.6, 34
56.9, 34
27.6, 22
70.8, 18
71.8, 17
33.7, 16
34.1, 16
44.1, 15
84.3, 11

Crystal structure
a = 5.5860 Å, b = 5.5860 Å, c = 5.5860 Å
α = 109.21°, β = 109.21°, γ = 109.21°
Positions (direct):
Li  0.0000  0.0000  0.0000
Hg  0.0000  0.5000  0.5000
Hg  0.5000  0.0000  0.5000
Hg  0.5000  0.5000  0.0000
Pd  0.0000  0.0000  0.5000
Pd  0.0000  0.5000  0.0000
Pd  0.5000  0.0000  0.0000



Record 5
Simulated powder diffractogram of Cd5Pd2Au5 for Cu Kα (weighted mean of Kα1 and Kα2), from DFT lattice parameters and positions (PBE).
Lines closer than 0.1° are merged.

Peak list (12 most intense, 2θ = 10–90°, by intensity)
Position (°2θ), I/Imax
37.1, 100
42.1, 18
43.4, 16
62.1, 16
43.6, 15
75.5, 12
63.2, 10
22.7, 8
73.7, 7
73.6, 6
75.8, 6
75.7, 6

Crystal structure
a = 6.7651 Å, b = 6.7651 Å, c = 9.3603 Å
α = 116.06°, β = 116.06°, γ = 35.89°
Positions (direct):
Cd  0.0000  0.0000  0.0000
Cd  0.0790  0.0790  0.7424
Cd  0.2499  0.2499  0.2680
Cd  0.7501  0.7501  0.7320
Cd  0.9210  0.9210  0.2576
Pd  0.1645  0.1645  0.5026
Pd  0.8355  0.8355  0.4974
Au  0.3304  0.3304  0.9959
Au  0.4140  0.4140  0.7425
Au  0.5000  0.5000  0.5000
Au  0.5860  0.5860  0.2575
Au  0.6696  0.6696  0.0041



Record 6
Simulated powder diffractogram of Tb16Pr6Ho7 for Cu Kα (weighted mean of Kα1 and Kα2), from DFT lattice parameters and positions (PBE).
Lines closer than 0.1° are merged.

Peak list (12 most intense, 2θ = 10–90°, by intensity)
Position (°2θ), I/Imax
31.9, 100
56.9, 25
45.8, 14
29.3, 13
66.7, 7
33.4, 6
75.9, 6
27.6, 6
43.9, 6
60.4, 6
33.9, 6
52.6, 6

Crystal structure
a = 11.2135 Å, b = 11.2135 Å, c = 11.2135 Å
α = 60.00°, β = 60.00°, γ = 60.00°
Positions (direct):
Tb  0.0446  0.6518  0.6518
Tb  0.1260  0.1260  0.1260
Tb  0.1260  0.1260  0.6219
Tb  0.1260  0.6219  0.1260
Tb  0.3482  0.3482  0.3482
Tb  0.3482  0.3482  0.9554
Tb  0.3482  0.9554  0.3482
Tb  0.3781  0.8740  0.8740
Tb  0.6219  0.1260  0.1260
Tb  0.6518  0.0446  0.6518
Tb  0.6518  0.6518  0.0446
Tb  0.6518  0.6518  0.6518
Tb  0.8740  0.3781  0.8740
Tb  0.8740  0.8740  0.3781
Tb  0.8740  0.8740  0.8740
Tb  0.9554  0.3482  0.3482
Pr  0.2736  0.2736  0.7264
Pr  0.2736  0.7264  0.2736
Pr  0.2736  0.7264  0.7264
Pr  0.7264  0.2736  0.2736
Pr  0.7264  0.2736  0.7264
Pr  0.7264  0.7264  0.2736
Ho  0.0000  0.0000  0.0000
Ho  0.0000  0.0000  0.5000
Ho  0.0000  0.5000  0.0000
Ho  0.0000  0.5000  0.5000
Ho  0.5000  0.0000  0.0000
Ho  0.5000  0.0000  0.5000
Ho  0.5000  0.5000  0.0000